Na21In5O15: theoretical powder X-ray diffraction pattern (Cu Kα (λ = 1.5418 Å)), based on a crystal structure in the Materials Project, relaxed with GGA-PBE.
No peak broadening, texture or thermal motion is included.

Structure:
Lattice parameters (Å, degrees): 9.706 9.706 9.695 109.88 109.88 108.54
Sites, in units of the cell vectors:
Na: 0.000 0.000 0.000
Na: 0.016 0.313 0.750
Na: 0.032 0.032 0.497
Na: 0.105 0.828 0.256
Na: 0.113 0.566 0.553
Na: 0.130 0.335 0.284
Na: 0.278 0.819 0.993
Na: 0.313 0.016 0.750
Na: 0.334 0.540 0.816
Na: 0.335 0.130 0.284
Na: 0.345 0.783 0.484
Na: 0.540 0.334 0.816
Na: 0.559 0.861 0.834
Na: 0.566 0.113 0.553
Na: 0.772 0.772 0.054
Na: 0.775 0.992 0.704
Na: 0.783 0.345 0.484
Na: 0.819 0.278 0.993
Na: 0.828 0.105 0.256
Na: 0.861 0.559 0.834
Na: 0.992 0.775 0.704
In: 0.256 0.256 0.988
In: 0.550 0.550 0.274
In: 0.551 0.551 0.574
In: 0.567 0.854 0.280
In: 0.854 0.567 0.280
O: 0.021 0.227 0.957
O: 0.036 0.036 0.252
O: 0.052 0.561 0.751
O: 0.084 0.783 0.486
O: 0.227 0.021 0.957
O: 0.264 0.264 0.776
O: 0.352 0.584 0.578
O: 0.364 0.889 0.285
O: 0.552 0.823 0.050
O: 0.561 0.052 0.751
O: 0.584 0.352 0.578
O: 0.768 0.768 0.784
O: 0.783 0.084 0.486
O: 0.823 0.552 0.050
O: 0.889 0.364 0.285

Top 12 peaks for 10° ≤ 2θ ≤ 90°, in order of rising 2θ:
- 11.13°, rel. 686
- 11.23°, rel. 368
- 19.29°, rel. 580
- 19.45°, rel. 1000
- 27.57°, rel. 666
- 29.86°, rel. 296
- 33.85°, rel. 444
- 34.12°, rel. 327
- 40.86°, rel. 223
- 41.28°, rel. 201
- 45.66°, rel. 483
- 46.07°, rel. 267

---

NaInP2O7: theoretical powder X-ray diffraction pattern (Cu Kα (λ = 1.5418 Å)), based on a crystal structure in the Materials Project, relaxed with GGA-PBE.
No peak broadening, texture or thermal motion is included.

Structure:
Lattice parameters (Å, degrees): 7.590 8.357 9.951 90.00 111.98 90.00
Sites, in units of the cell vectors:
Na: 0.216 0.026 0.215
Na: 0.216 0.474 0.715
Na: 0.784 0.526 0.285
Na: 0.784 0.974 0.785
In: 0.246 0.004 0.749
In: 0.246 0.496 0.249
In: 0.754 0.504 0.751
In: 0.754 0.996 0.251
P: 0.173 0.715 0.950
P: 0.173 0.785 0.450
P: 0.426 0.247 0.041
P: 0.426 0.253 0.541
P: 0.574 0.747 0.459
P: 0.574 0.753 0.959
P: 0.827 0.215 0.550
P: 0.827 0.285 0.050
O: 0.041 0.590 0.851
O: 0.041 0.910 0.351
O: 0.126 0.612 0.393
O: 0.126 0.888 0.893
O: 0.197 0.708 0.109
O: 0.197 0.792 0.609
O: 0.319 0.132 0.593
O: 0.319 0.368 0.093
O: 0.327 0.221 0.877
O: 0.327 0.279 0.377
O: 0.372 0.666 0.932
O: 0.372 0.834 0.432
O: 0.470 0.091 0.130
O: 0.470 0.409 0.630
O: 0.530 0.591 0.370
O: 0.530 0.909 0.870
O: 0.628 0.166 0.568
O: 0.628 0.334 0.068
O: 0.673 0.721 0.623
O: 0.673 0.779 0.123
O: 0.681 0.632 0.907
O: 0.681 0.868 0.407
O: 0.803 0.208 0.391
O: 0.803 0.292 0.891
O: 0.874 0.112 0.107
O: 0.874 0.388 0.607
O: 0.959 0.090 0.649
O: 0.959 0.410 0.149

Top 12 peaks for 10° ≤ 2θ ≤ 90°, in order of rising 2θ:
- 16.52°, rel. 1000
- 21.34°, rel. 482
- 25.31°, rel. 317
- 27.50°, rel. 196
- 28.83°, rel. 916
- 29.02°, rel. 242
- 33.29°, rel. 171
- 33.40°, rel. 246
- 37.38°, rel. 161
- 37.78°, rel. 194
- 50.87°, rel. 237
- 59.76°, rel. 172